Calculated powder diffraction line list of Na3Tl2In for a wavelength of 1.5418 Å, from a DFT-relaxed cell (PBE, Alexandria).

Structural model:
a = 9.013 Å, b = 8.404 Å, c = 9.471 Å
α = 90.00°, β = 101.08°, γ = 90.00°
Fractional coordinates of all 24 atoms:
Na1 0.068 0.225 0.012
Na2 0.068 0.275 0.512
Na3 0.255 0.584 0.172
Na4 0.255 0.916 0.672
Na5 0.338 0.542 0.554
Na6 0.338 0.958 0.054
Na7 0.662 0.042 0.946
Na8 0.662 0.458 0.446
Na9 0.745 0.084 0.328
Na10 0.745 0.416 0.828
Na11 0.932 0.725 0.488
Na12 0.932 0.775 0.988
Tl1 0.093 0.550 0.794
Tl2 0.093 0.950 0.294
Tl3 0.344 0.234 0.313
Tl4 0.344 0.266 0.813
Tl5 0.656 0.734 0.187
Tl6 0.656 0.766 0.687
Tl7 0.907 0.050 0.706
Tl8 0.907 0.450 0.206
In1 0.444 0.638 0.896
In2 0.444 0.862 0.396
In3 0.556 0.138 0.604
In4 0.556 0.362 0.104

Main lines, low angle first (15 to 90 degrees two-theta):
16.31°, rel. 66
19.10°, rel. 84
19.80°, rel. 86
23.44°, rel. 88
31.64°, rel. 78
31.86°, rel. 70
32.32°, rel. 100
32.95°, rel. 94
33.56°, rel. 70
38.10°, rel. 49

=====

Calculated powder diffraction line list of U2Si4Mo3 for a wavelength of 1.5418 Å, from a DFT-relaxed cell (PBE, Alexandria).

Structural model:
a = 6.886 Å, b = 6.904 Å, c = 6.746 Å
α = 90.00°, β = 109.84°, γ = 90.00°
Fractional coordinates of all 18 atoms:
U1 0.186 0.164 0.056
U2 0.186 0.336 0.556
U3 0.814 0.664 0.444
U4 0.814 0.836 0.944
Si1 0.090 0.544 0.871
Si2 0.090 0.956 0.371
Si3 0.498 0.633 0.633
Si4 0.498 0.867 0.133
Si5 0.502 0.133 0.867
Si6 0.502 0.367 0.367
Si7 0.910 0.044 0.629
Si8 0.910 0.456 0.129
Mo1 0.244 0.663 0.254
Mo2 0.244 0.837 0.754
Mo3 0.500 0.000 0.500
Mo4 0.500 0.500 0.000
Mo5 0.756 0.163 0.246
Mo6 0.756 0.337 0.746

Main lines, low angle first (15 to 90 degrees two-theta):
18.79°, rel. 35
29.78°, rel. 31
30.47°, rel. 49
34.67°, rel. 100
37.19°, rel. 79
37.53°, rel. 42
37.87°, rel. 72
41.78°, rel. 81
42.27°, rel. 39
64.41°, rel. 34

=====

Calculated powder diffraction line list of TmBrF for a wavelength of 1.5418 Å, from a DFT-relaxed cell (PBE, Alexandria).

Structural model:
a = 9.394 Å, b = 9.394 Å, c = 4.047 Å
α = 90.00°, β = 90.00°, γ = 120.00°
Fractional coordinates of all 9 atoms:
Tm1 0.168 0.704 0.000
Tm2 0.296 0.464 0.667
Tm3 0.536 0.832 0.333
Br1 0.264 0.246 0.166
Br2 0.754 0.018 0.832
Br3 0.982 0.736 0.499
F1 0.075 0.455 0.836
F2 0.380 0.925 0.170
F3 0.545 0.620 0.503

Main lines, low angle first (15 to 90 degrees two-theta):
18.89°, rel. 55
24.57°, rel. 28
29.10°, rel. 100
31.18°, rel. 53
36.71°, rel. 34
39.99°, rel. 40
44.59°, rel. 22
46.06°, rel. 27
46.23°, rel. 19
63.71°, rel. 20

=====

Calculated powder diffraction line list of In3As2Pd7 for a wavelength of 1.5418 Å, from a DFT-relaxed cell (PBE, Alexandria).

Structural model:
a = 9.880 Å, b = 9.880 Å, c = 4.694 Å
α = 90.00°, β = 90.00°, γ = 150.96°
Fractional coordinates of all 12 atoms:
In1 0.000 0.000 0.000
In2 0.168 0.832 0.000
In3 0.832 0.168 0.000
As1 0.364 0.636 0.500
As2 0.636 0.364 0.500
Pd1 0.082 0.918 0.500
Pd2 0.233 0.767 0.500
Pd3 0.418 0.582 0.000
Pd4 0.500 0.500 0.500
Pd5 0.582 0.418 0.000
Pd6 0.767 0.233 0.500
Pd7 0.918 0.082 0.500

Main lines, low angle first (15 to 90 degrees two-theta):
29.50°, rel. 13
33.99°, rel. 11
35.27°, rel. 50
36.27°, rel. 61
38.35°, rel. 52
42.40°, rel. 100
53.81°, rel. 38
69.45°, rel. 22
72.13°, rel. 21
82.95°, rel. 10